Entry 1:
# PmTl3Te2O8
Computed powder X-ray diffraction pattern, Cu Kα X-rays. Input: a DFT-relaxed cell (GGA-PBE, Alexandria).

Structure:
Lattice parameters (Å, degrees): 6.5319 6.5319 7.8320 90.00 90.00 120.00
Space group P-3m1 (No. 164)
Symmetry-distinct sites (fractional):
Pm1 0.0000 0.0000 0.0000 (multiplicity 1)
Tl1 0.0000 0.0000 0.5000 (multiplicity 1)
Tl2 0.3333 0.6667 0.2348 (multiplicity 2)
Te1 0.3333 0.6667 0.7721 (multiplicity 2)
O1 0.1629 0.3257 0.8131 (multiplicity 6)
O2 0.3333 0.6667 0.5350 (multiplicity 2)

The 12 most intense peaks (10 to 90 degrees two-theta), most intense first:
d (Å), two_theta, I (rel.), (hkl)
3.266, 27.3, 100, 1 1 0
3.220, 27.7, 78, 1 0 2
2.293, 39.3, 36, 2 0 2
1.877, 48.5, 35, 2 1 2
1.679, 54.7, 27, 1 1 4
1.886, 48.3, 21, 3 0 0
1.633, 56.3, 17, 2 2 0
1.456, 63.9, 15, 3 1 2
1.358, 69.2, 13, 0 3 4
1.234, 77.3, 11, 4 1 0
1.254, 75.9, 10, 2 2 4
1.232, 77.5, 9, 2 3 2



Entry 2:
# Tb9Nd4In11
Computed powder X-ray diffraction pattern, Cu Kα X-rays. Input: a DFT-relaxed cell (GGA-PBE, Alexandria).

Structure:
Lattice parameters (Å, degrees): 16.122 23.575 3.515 90.00 90.00 90.00
Space group Cmmm (No. 65)
Symmetry-distinct sites (fractional):
Tb1 0.000 0.000 0.000 (multiplicity 2)
Tb2 0.106 0.403 0.000 (multiplicity 8)
Tb3 0.111 0.223 0.000 (multiplicity 8)
Nd1 0.175 0.082 0.000 (multiplicity 8)
In1 0.000 0.121 0.500 (multiplicity 4)
In2 0.000 0.311 0.500 (multiplicity 4)
In3 0.000 0.500 0.500 (multiplicity 2)
In4 0.198 0.500 0.500 (multiplicity 4)
In5 0.224 0.315 0.500 (multiplicity 8)

The 12 most intense peaks (10 to 90 degrees two-theta), most intense first:
d (Å), two_theta, I (rel.), (hkl)
2.775, 32.3, 100, 1 5 1
2.662, 33.7, 98, 5 5 0
2.620, 34.2, 90, 0 6 1
2.649, 33.8, 86, 4 0 1
2.813, 31.8, 62, 4 6 0
1.591, 57.9, 53, 5 11 1
2.364, 38.1, 46, 5 1 1
1.512, 61.3, 45, 9 5 1
1.467, 63.4, 31, 5 5 2
1.757, 52.0, 28, 0 0 2
2.854, 31.3, 27, 3 7 0
2.357, 38.2, 27, 0 10 0